Record 1
Starting from the PBE geometry in Alexandria, the XRD peak list of Pa3Ag3S8 was simulated for Cu Kα (λ = 1.5418 Å).
Lines closer than 0.1° are merged.

Cell and atoms:
Unit cell a=8.1664 b=8.1664 c=18.3191 alpha=90.00 beta=90.00 gamma=120.00
Space group R-3m (No. 166, hexagonal axes)
Symmetry-distinct sites (fractional):
Pa (0.0000, 0.5000, 0.0000) [9 per cell]
Ag (0.0000, 0.0000, 0.1134) [6 per cell]
Ag (0.0000, 0.0000, 0.5000) [3 per cell]
S (0.0000, 0.0000, 0.2563) [6 per cell]
S (0.0166, 0.5083, 0.2576) [18 per cell]

Largest 10 diffraction maxima, by angle, 2θ from 10° to 80°:
2θ (°)	intensity	(hkl)
13.42	28	1 0 1
14.51	54	0 0 3
25.66	100	0 2 1
26.26	78	1 1 3
27.03	51	2 0 2
27.42	46	0 1 5
31.98	77	0 2 4
41.83	34	1 2 5
44.37	72	2 2 0
47.29	55	2 0 8

Record 2
Starting from the PBE geometry in Alexandria, the XRD peak list of ScPaAgS4 was simulated for Cu Kα (λ = 1.5418 Å).
Lines closer than 0.1° are merged.

Cell and atoms:
Unit cell a=7.605 b=8.098 c=10.873 alpha=90.00 beta=90.00 gamma=90.00
Space group Imma (No. 74)
Symmetry-distinct sites (fractional):
Sc (0.250, 0.250, 0.250) [4 per cell]
Pa (0.000, 0.000, 0.000) [4 per cell]
Ag (0.000, 0.250, 0.644) [4 per cell]
S (0.000, 0.029, 0.247) [8 per cell]
S (0.238, 0.250, 0.010) [8 per cell]

Largest 10 diffraction maxima, by angle, 2θ from 10° to 80°:
2θ (°)	intensity	(hkl)
14.21	63	1 0 1
22.91	21	1 1 2
23.39	34	2 0 0
26.25	100	1 2 1
27.24	76	1 0 3
32.30	29	2 2 0
36.38	28	2 2 2
42.90	31	3 2 1
46.81	59	2 2 4
53.21	20	1 4 3

Record 3
Starting from the PBE geometry in Alexandria, the XRD peak list of Pa2AgSe4S was simulated for Cu Kα (λ = 1.5418 Å).
Lines closer than 0.1° are merged.

Cell and atoms:
Unit cell a=12.514 b=3.912 c=8.048 alpha=90.00 beta=110.11 gamma=90.00
Space group C2/m (No. 12)
Symmetry-distinct sites (fractional):
Pa (0.158, 0.000, 0.182) [4 per cell]
Ag (0.000, 0.000, 0.500) [2 per cell]
Se (0.141, 0.500, 0.438) [4 per cell]
Se (0.174, 0.000, 0.823) [4 per cell]
S (0.000, 0.500, 0.000) [2 per cell]

Largest 10 diffraction maxima, by angle, 2θ from 10° to 80°:
2θ (°)	intensity	(hkl)
22.13	78	2 0 1
23.20	48	2 0 -2
23.97	49	1 1 0
31.61	64	3 1 -1
32.33	44	3 1 0
35.23	100	3 1 -2
35.67	97	0 0 3
37.21	62	3 1 1
41.06	50	1 1 -3
46.40	73	0 2 0

Record 4
Starting from the PBE geometry in Alexandria, the XRD peak list of Pa2AgSeS4 was simulated for Cu Kα (λ = 1.5418 Å).
Lines closer than 0.1° are merged.

Cell and atoms:
Unit cell a=12.516 b=3.874 c=7.575 alpha=90.00 beta=109.17 gamma=90.00
Space group C2/m (No. 12)
Symmetry-distinct sites (fractional):
Pa (0.176, 0.000, 0.200) [4 per cell]
Ag (0.000, 0.000, 0.500) [2 per cell]
Se (0.000, 0.500, 0.000) [2 per cell]
S (0.141, 0.500, 0.441) [4 per cell]
S (0.178, 0.000, 0.826) [4 per cell]

Largest 10 diffraction maxima, by angle, 2θ from 10° to 80°:
2θ (°)	intensity	(hkl)
22.44	80	2 0 1
24.49	100	2 0 -2
28.38	69	1 1 1
31.93	81	3 1 -1
32.41	59	3 1 0
36.22	52	3 1 -2
36.78	38	1 1 2
43.03	78	1 1 -3
44.94	51	5 1 -2
45.86	43	3 1 2

Record 5
Starting from the PBE geometry in Alexandria, the XRD peak list of Sm2PaAgS6 was simulated for Cu Kα (λ = 1.5418 Å).
Lines closer than 0.1° are merged.

Cell and atoms:
Unit cell a=6.388 b=6.388 c=6.668 alpha=90.00 beta=90.00 gamma=90.00
Space group P4mm (No. 99)
Symmetry-distinct sites (fractional):
Sm (0.000, 0.500, 0.000) [2 per cell]
Pa (0.000, 0.000, 0.599) [1 per cell]
Ag (0.500, 0.500, 0.513) [1 per cell]
S (0.000, 0.000, 0.197) [1 per cell]
S (0.256, 0.256, 0.757) [4 per cell]
S (0.500, 0.500, 0.155) [1 per cell]

Largest 10 diffraction maxima, by angle, 2θ from 10° to 80°:
2θ (°)	intensity	(hkl)
13.28	15	0 0 1
23.79	100	1 1 1
27.94	34	2 0 0
33.40	14	1 1 2
39.05	35	2 0 2
39.92	28	2 2 0
45.48	12	1 1 3
47.00	33	3 1 1
71.92	12	4 2 2
77.55	10	5 1 1

Record 6
Starting from the PBE geometry in Alexandria, the XRD peak list of Sr2PaAg2S6 was simulated for Cu Kα (λ = 1.5418 Å).
Lines closer than 0.1° are merged.

Cell and atoms:
Unit cell a=6.7497 b=6.7497 c=6.9160 alpha=90.00 beta=90.00 gamma=120.00
Space group P-31m (No. 162)
Symmetry-distinct sites (fractional):
Sr (0.3333, 0.6667, 0.0000) [2 per cell]
Pa (0.0000, 0.0000, 0.5000) [1 per cell]
Ag (0.3333, 0.6667, 0.5000) [2 per cell]
S (0.0000, 0.3204, 0.2740) [6 per cell]

Largest 10 diffraction maxima, by angle, 2θ from 10° to 80°:
2θ (°)	intensity	(hkl)
12.80	39	0 0 1
19.89	37	1 0 1
25.76	15	0 0 2
26.41	65	1 1 0
29.45	35	1 1 1
37.23	100	1 1 2
46.61	33	3 0 0
60.13	15	2 -1 4
61.11	23	4 -2 2
73.18	16	3 0 4

Record 7
Starting from the PBE geometry in Alexandria, the XRD peak list of SrPaAgS4 was simulated for Cu Kα (λ = 1.5418 Å).
Lines closer than 0.1° are merged.

Cell and atoms:
Unit cell a=8.578 b=9.273 c=8.890 alpha=90.00 beta=90.00 gamma=90.00
Space group Imma (No. 74)
Symmetry-distinct sites (fractional):
Sr (0.000, 0.250, 0.178) [4 per cell]
Pa (0.250, 0.250, 0.750) [4 per cell]
Ag (0.000, 0.000, 0.500) [4 per cell]
S (0.000, 0.072, 0.791) [8 per cell]
S (0.199, 0.250, 0.465) [8 per cell]

Largest 10 diffraction maxima, by angle, 2θ from 10° to 80°:
2θ (°)	intensity	(hkl)
13.80	70	0 1 1
19.14	35	0 2 0
24.97	100	2 1 1
27.80	48	0 2 2
28.35	64	2 2 0
31.70	29	0 1 3
37.26	65	2 3 1
38.17	32	2 1 3
50.25	40	2 2 4
51.21	33	4 2 2

Record 8
Starting from the PBE geometry in Alexandria, the XRD peak list of PaAgTe2S6 was simulated for Cu Kα (λ = 1.5418 Å).
Lines closer than 0.1° are merged.

Cell and atoms:
Unit cell a=6.929 b=7.051 c=7.262 alpha=99.32 beta=111.66 gamma=114.21
Space group P1 (No. 1)
Symmetry-distinct sites (fractional):
Pa (0.000, 0.000, 0.000) [1 per cell]
Ag (0.211, 0.743, 0.582) [1 per cell]
Te (0.362, 0.579, 0.160) [1 per cell]
Te (0.687, 0.462, 0.756) [1 per cell]
S (0.156, 0.357, 0.331) [1 per cell]
S (0.219, 0.862, 0.270) [1 per cell]
S (0.410, 0.259, 0.007) [1 per cell]
S (0.562, 0.840, 0.930) [1 per cell]
S (0.838, 0.727, 0.592) [1 per cell]
S (0.977, 0.337, 0.795) [1 per cell]

Largest 10 diffraction maxima, by angle, 2θ from 10° to 80°:
2θ (°)	intensity	(hkl)
14.12	56	0 0 1
15.40	80	1 0 -1
22.37	100	1 -1 1
24.96	43	1 0 -2
26.15	56	-2 1 1
27.01	41	1 1 0
27.94	72	0 2 -1
30.94	60	-1 2 1
37.20	39	2 1 -2
40.05	55	0 1 -3

Record 9
Starting from the PBE geometry in Alexandria, the XRD peak list of ScPaAgSe4 was simulated for Cu Kα (λ = 1.5418 Å).
Lines closer than 0.1° are merged.

Cell and atoms:
Unit cell a=8.020 b=8.410 c=11.390 alpha=90.00 beta=90.00 gamma=90.00
Space group Imma (No. 74)
Symmetry-distinct sites (fractional):
Sc (0.250, 0.250, 0.250) [4 per cell]
Pa (0.000, 0.000, 0.000) [4 per cell]
Ag (0.000, 0.250, 0.642) [4 per cell]
Se (0.000, 0.028, 0.248) [8 per cell]
Se (0.241, 0.250, 0.009) [8 per cell]

Largest 10 diffraction maxima, by angle, 2θ from 10° to 80°:
2θ (°)	intensity	(hkl)
13.50	56	1 0 1
22.17	29	2 0 0
25.16	84	1 2 1
25.97	51	1 0 3
30.81	66	2 2 0
31.42	34	0 0 4
40.77	30	3 2 1
43.02	27	0 4 0
44.58	100	2 2 4
45.24	31	4 0 0

Record 10
Starting from the PBE geometry in Alexandria, the XRD peak list of PaAg7Se6 was simulated for Cu Kα (λ = 1.5418 Å).
Lines closer than 0.1° are merged.

Cell and atoms:
Unit cell a=7.5778 b=7.5778 c=20.7418 alpha=90.00 beta=90.00 gamma=120.00
Space group R3 (No. 146, hexagonal axes)
Symmetry-distinct sites (fractional):
Pa (0.0000, 0.0000, 0.0000) [3 per cell]
Ag (0.0000, 0.0000, 0.5504) [3 per cell]
Ag (0.0004, 0.3732, 0.7893) [9 per cell]
Ag (0.0000, 0.7472, 0.8597) [9 per cell]
Se (0.0019, 0.6458, 0.4003) [9 per cell]
Se (0.0042, 0.3261, 0.9296) [9 per cell]

Largest 10 diffraction maxima, by angle, 2θ from 10° to 80°:
2θ (°)	intensity	(hkl)
14.16	33	1 0 1
15.98	59	0 1 2
26.83	39	1 1 3
34.86	19	2 0 5
35.14	100	1 1 6
36.48	18	3 -1 1
37.28	32	3 -2 2
40.31	21	2 1 4
41.27	73	3 0 0
46.10	49	2 -1 9

Record 11
Starting from the PBE geometry in Alexandria, the XRD peak list of Pa3Ag3Se8 was simulated for Cu Kα (λ = 1.5418 Å).
Lines closer than 0.1° are merged.

Cell and atoms:
Unit cell a=8.4876 b=8.4876 c=19.3744 alpha=90.00 beta=90.00 gamma=120.00
Space group R-3m (No. 166, hexagonal axes)
Symmetry-distinct sites (fractional):
Pa (0.0000, 0.5000, 0.0000) [9 per cell]
Ag (0.0000, 0.0000, 0.1135) [6 per cell]
Ag (0.0000, 0.0000, 0.5000) [3 per cell]
Se (0.0000, 0.0000, 0.2546) [6 per cell]
Se (0.0163, 0.5081, 0.2562) [18 per cell]

Largest 10 diffraction maxima, by angle, 2θ from 10° to 80°:
2θ (°)	intensity	(hkl)
13.71	39	0 0 3
24.66	59	0 2 1
25.11	49	1 1 3
25.99	30	0 1 5
30.53	100	0 2 4
39.93	24	1 2 5
42.61	75	2 2 0
44.82	61	2 0 8
63.55	21	0 4 8
79.55	22	4 2 8

Record 12
Starting from the PBE geometry in Alexandria, the XRD peak list of Pa3Tl4AgSe8 was simulated for Cu Kα (λ = 1.5418 Å).
Lines closer than 0.1° are merged.

Cell and atoms:
Unit cell a=8.2978 b=8.2978 c=23.7256 alpha=90.00 beta=90.00 gamma=120.00
Space group R-3m (No. 166, hexagonal axes)
Symmetry-distinct sites (fractional):
Pa (0.0000, 0.5000, 0.0000) [9 per cell]
Tl (0.0000, 0.0000, 0.5000) [3 per cell]
Tl (0.0000, 0.5000, 0.5000) [9 per cell]
Ag (0.0000, 0.0000, 0.0000) [3 per cell]
Se (0.0000, 0.0000, 0.2645) [6 per cell]
Se (0.0088, 0.5044, 0.2647) [18 per cell]

Largest 10 diffraction maxima, by angle, 2θ from 10° to 80°:
2θ (°)	intensity	(hkl)
22.48	14	0 0 6
25.91	25	2 0 2
29.06	100	0 2 4
39.39	40	2 0 8
43.63	35	2 2 0
45.86	16	0 0 12
53.28	19	4 0 4
60.23	12	0 4 8
65.17	18	2 2 12
71.23	16	2 4 4

Record 13
Starting from the PBE geometry in Alexandria, the XRD peak list of Y3PaAg3Se8 was simulated for Cu Kα (λ = 1.5418 Å).
Lines closer than 0.1° are merged.

Cell and atoms:
Unit cell a=13.751 b=8.368 c=8.071 alpha=90.00 beta=122.68 gamma=90.00
Space group C2/m (No. 12)
Symmetry-distinct sites (fractional):
Y (0.000, 0.000, 0.000) [2 per cell]
Y (0.250, 0.250, 0.500) [4 per cell]
Pa (0.000, 0.500, 0.000) [2 per cell]
Ag (0.000, 0.500, 0.500) [2 per cell]
Ag (0.250, 0.250, 0.000) [4 per cell]
Se (0.002, 0.250, 0.247) [8 per cell]
Se (0.248, 0.500, 0.253) [4 per cell]
Se (0.250, 0.000, 0.252) [4 per cell]

Largest 10 diffraction maxima, by angle, 2θ from 10° to 80°:
2θ (°)	intensity	(hkl)
13.05	21	1 1 0
25.38	9	2 2 -1
30.84	100	4 0 0
43.25	39	2 2 2
45.00	12	4 0 -4
45.13	23	6 2 -2
53.99	7	0 0 4
54.10	13	4 4 0
64.18	8	4 4 -4
71.58	11	0 4 4